This entry pairs a crystal structure of Cd2In5Pd12 with its simulated powder XRD pattern. Radiation: Cu Kα. Structure: DFT lattice parameters and positions (GGA-PBE).

Cell and atoms:
Lattice parameters (Å, degrees): 8.237 8.237 8.994 107.48 107.48 39.79
Fractional coordinates of all 19 atoms:
Cd  0.246  0.754  0.000
Cd  0.754  0.246  0.000
In  0.000  0.000  0.500
In  0.315  0.315  0.640
In  0.350  0.350  0.147
In  0.650  0.650  0.853
In  0.685  0.685  0.360
Pd  0.051  0.568  0.889
Pd  0.093  0.593  0.399
Pd  0.107  0.107  0.303
Pd  0.407  0.907  0.601
Pd  0.432  0.949  0.111
Pd  0.488  0.488  0.642
Pd  0.512  0.512  0.358
Pd  0.568  0.051  0.889
Pd  0.593  0.093  0.399
Pd  0.893  0.893  0.697
Pd  0.907  0.407  0.601
Pd  0.949  0.432  0.111

Principal peaks in the range 2θ = 15–90°, most intense first:
- d 2.354, 38.23°, intensity 100.0
- d 2.447, 36.73°, intensity 74.5
- d 2.248, 40.12°, intensity 66.2
- d 2.126, 42.53°, intensity 64.7
- d 2.153, 41.96°, intensity 58.7
- d 2.264, 39.81°, intensity 51.7
- d 2.425, 37.07°, intensity 50.8
- d 2.059, 43.97°, intensity 49.7
- d 3.507, 25.40°, intensity 36.5
- d 1.402, 66.74°, intensity 29.7


This entry pairs a crystal structure of Cd2In3Pd7 with its simulated powder XRD pattern. Radiation: Cu Kα. Structure: DFT lattice parameters and positions (GGA-PBE).

Cell and atoms:
Lattice parameters (Å, degrees): 4.549 4.649 11.081 78.02 89.94 89.69
Fractional coordinates of all 12 atoms:
Cd  0.000  0.153  0.195
Cd  0.000  0.847  0.805
In  0.000  0.000  0.500
In  0.500  0.353  0.794
In  0.500  0.647  0.206
Pd  0.000  0.283  0.934
Pd  0.000  0.426  0.650
Pd  0.000  0.574  0.350
Pd  0.000  0.717  0.066
Pd  0.500  0.073  0.354
Pd  0.500  0.500  0.500
Pd  0.500  0.927  0.646

Principal peaks in the range 2θ = 15–90°, most intense first:
- d 2.245, 40.16°, intensity 100.0
- d 2.240, 40.27°, intensity 99.2
- d 2.324, 38.74°, intensity 58.2
- d 2.274, 39.63°, intensity 55.6
- d 1.630, 56.46°, intensity 18.8
- d 1.621, 56.79°, intensity 18.5
- d 1.326, 71.12°, intensity 17.7
- d 1.305, 72.41°, intensity 17.1
- d 1.309, 72.19°, intensity 16.9
- d 4.194, 21.18°, intensity 13.8


This entry pairs a crystal structure of Cd2In2Pd with its simulated powder XRD pattern. Radiation: Cu Kα. Structure: DFT lattice parameters and positions (GGA-PBE).

Cell and atoms:
Lattice parameters (Å, degrees): 7.596 7.596 7.596 132.32 67.80 134.79
Fractional coordinates of all 10 atoms:
Cd  0.094  0.148  0.242
Cd  0.406  0.648  0.054
Cd  0.594  0.352  0.946
Cd  0.906  0.852  0.758
In  0.172  0.666  0.838
In  0.328  0.166  0.494
In  0.672  0.834  0.506
In  0.828  0.334  0.162
Pd  0.250  0.750  0.500
Pd  0.750  0.250  0.500

Principal peaks in the range 2θ = 15–90°, most intense first:
- d 2.656, 33.75°, intensity 100.0
- d 2.528, 35.51°, intensity 84.5
- d 2.920, 30.62°, intensity 39.7
- d 2.333, 38.59°, intensity 34.0
- d 2.142, 42.19°, intensity 33.6
- d 1.396, 67.05°, intensity 27.5
- d 2.581, 34.76°, intensity 25.0
- d 2.282, 39.49°, intensity 23.7
- d 2.234, 40.38°, intensity 23.0
- d 2.116, 42.74°, intensity 20.8